Entry 1:
Computed powder diffractogram of Na4MgAlP3O12 for Cu Kα, 1.54184 Å, from a GGA-PBE-relaxed structure.

Atomic structure:
Cell: 8.8114 8.8114 21.5444 Å, 90.00 90.00 120.00°
Space group R3c (No. 161, hexagonal axes)
One atom of each set of equivalent atoms:
Na (0.0000, 0.0000, 0.0000) (multiplicity 6)
Na (0.0352, 0.3389, 0.0841) (multiplicity 18)
Mg (0.0000, 0.0000, 0.3522) (multiplicity 6)
Al (0.0000, 0.0000, 0.1518) (multiplicity 6)
P (0.0046, 0.2949, 0.2521) (multiplicity 18)
O (0.0146, 0.1910, 0.9123) (multiplicity 18)
O (0.0379, 0.2076, 0.1940) (multiplicity 18)
O (0.1513, 0.4540, 0.9763) (multiplicity 18)
O (0.1750, 0.4801, 0.2574) (multiplicity 18)

Peak list (10 most intense, 10 to 80 degrees two-theta, low angle first)
Position (°2θ), I/Imax
23.7, 56
24.8, 37
31.3, 41
32.2, 100
35.3, 49
42.9, 30
48.5, 40
52.5, 20
61.4, 21
63.4, 25

---

Entry 2:
Computed powder diffractogram of Na3MgAlP2SO12 for Cu Kα, 1.54184 Å, from a GGA-PBE-relaxed structure.

Atomic structure:
Cell: 15.1018 8.8054 8.8888 Å, 90.00 125.75 90.00°
Space group Cc (No. 9)
One atom of each set of equivalent atoms:
Na (0.0000, 0.0681, 0.0000) (multiplicity 4)
Na (0.0660, 0.2600, 0.7507) (multiplicity 4)
Na (0.1373, 0.4299, 0.4964) (multiplicity 4)
Mg (0.4259, 0.2453, 0.8145) (multiplicity 4)
Al (0.2297, 0.2637, 0.2053) (multiplicity 4)
P (0.3251, 0.4541, 0.0132) (multiplicity 4)
P (0.4752, 0.1082, 0.5167) (multiplicity 4)
S (0.1807, 0.0954, 0.5045) (multiplicity 4)
O (0.0736, 0.3093, 0.0293) (multiplicity 4)
O (0.0854, 0.1627, 0.4914) (multiplicity 4)
O (0.1754, 0.1257, 0.3341) (multiplicity 4)
O (0.1767, 0.0720, 0.0236) (multiplicity 4)
O (0.2431, 0.3580, 0.0283) (multiplicity 4)
O (0.2488, 0.4414, 0.3384) (multiplicity 4)
O (0.2761, 0.1675, 0.6674) (multiplicity 4)
O (0.3706, 0.1870, 0.3483) (multiplicity 4)
O (0.3978, 0.4488, 0.6862) (multiplicity 4)
O (0.3997, 0.3546, 0.9907) (multiplicity 4)
O (0.4850, 0.0622, 0.9946) (multiplicity 4)
O (0.4847, 0.1353, 0.6946) (multiplicity 4)

Peak list (10 most intense, 10 to 80 degrees two-theta, low angle first)
Position (°2θ), I/Imax
14.2, 40
23.6, 76
23.7, 100
24.0, 78
24.7, 67
31.5, 74
31.9, 63
32.1, 93
32.5, 56
35.4, 64